For YMg6BiO8, DFT lattice parameters and positions (PBE) gives the calculated powder diffraction line list in this record (a wavelength of 1.5418 Å).
Lines closer than 0.1° are merged.

```
YMg6BiO8
1.0
4.607 0.000 0.000
0.000 4.607 0.000
0.000 0.000 9.432
Y Mg Bi O
1 6 1 8
direct
0.000 0.000 0.000
0.000 0.500 0.254
0.000 0.500 0.746
0.500 0.000 0.254
0.500 0.000 0.746
0.500 0.500 0.000
0.500 0.500 0.500
0.000 0.000 0.500
0.000 0.000 0.232
0.000 0.000 0.768
0.000 0.500 0.000
0.000 0.500 0.500
0.500 0.000 0.000
0.500 0.000 0.500
0.500 0.500 0.248
0.500 0.500 0.752
```

Main lines, by angle (2θ from 10° to 80°):
2θ/deg, I (rel.), h k l
18.82, 53, 0 0 2
19.27, 100, 1 0 0
21.47, 30, 1 0 1
27.06, 90, 1 0 2
27.38, 43, 1 1 0
33.43, 88, 1 1 2
38.17, 51, 0 0 4
39.11, 95, 2 0 0
48.21, 40, 2 1 2
55.80, 62, 2 0 4
56.50, 30, 2 2 0
67.27, 31, 3 1 2